Entry 1:
Calculated powder diffraction line list
Compound: TbSmGa2
Radiation: λ = 1.5418 Å (Cu Kα)
Structure: a PBE-relaxed structure
Lines closer than 0.1° are merged.

Structural model:
Unit cell a=4.413 b=4.095 c=5.956 alpha=90.00 beta=111.71 gamma=90.00
Element x y z (fractional)
Tb 0.000 0.000 0.000
Sm 0.278 0.500 0.558
Ga 0.563 0.500 0.125
Ga 0.711 0.000 0.424

Main lines, by angle (2θ from 10° to 90°):
27.09 deg, I = 25
30.86 deg, I = 100
31.61 deg, I = 43
32.36 deg, I = 27
38.67 deg, I = 52
39.30 deg, I = 18
40.90 deg, I = 26
44.23 deg, I = 21
55.38 deg, I = 18
61.81 deg, I = 15
62.39 deg, I = 15
73.03 deg, I = 16

Entry 2:
Calculated powder diffraction line list
Compound: Tb3Sm4Ga4
Radiation: λ = 1.5418 Å (Cu Kα)
Structure: a PBE-relaxed structure
Lines closer than 0.1° are merged.

Structural model:
Unit cell a=10.336 b=10.336 c=10.336 alpha=160.07 beta=127.93 gamma=56.31
Element x y z (fractional)
Tb 0.000 0.000 0.000
Tb 0.406 0.906 0.500
Tb 0.594 0.094 0.500
Sm 0.013 0.334 0.679
Sm 0.346 0.666 0.679
Sm 0.654 0.334 0.321
Sm 0.987 0.666 0.321
Ga 0.276 0.276 0.000
Ga 0.277 0.500 0.777
Ga 0.723 0.500 0.223
Ga 0.724 0.724 0.000

Main lines, by angle (2θ from 10° to 90°):
26.35 deg, I = 34
28.96 deg, I = 47
32.24 deg, I = 100
33.09 deg, I = 79
33.34 deg, I = 75
35.15 deg, I = 38
35.57 deg, I = 39
35.88 deg, I = 23
40.28 deg, I = 24
49.58 deg, I = 44
51.06 deg, I = 24
62.20 deg, I = 26

Entry 3:
Calculated powder diffraction line list
Compound: Tb3SmGa4
Radiation: λ = 1.5418 Å (Cu Kα)
Structure: a PBE-relaxed structure
Lines closer than 0.1° are merged.

Structural model:
Unit cell a=5.094 b=5.094 c=7.202 alpha=90.00 beta=90.00 gamma=90.00
Element x y z (fractional)
Tb 0.000 0.000 0.000
Tb 0.000 0.000 0.500
Tb 0.500 0.500 0.000
Sm 0.500 0.500 0.500
Ga 0.000 0.500 0.246
Ga 0.000 0.500 0.754
Ga 0.500 0.000 0.246
Ga 0.500 0.000 0.754

Main lines, by angle (2θ from 10° to 90°):
24.72 deg, I = 16
35.24 deg, I = 100
43.53 deg, I = 5
50.70 deg, I = 18
57.19 deg, I = 7
63.25 deg, I = 36
74.52 deg, I = 11
79.91 deg, I = 3
85.21 deg, I = 16